For CaMgSc2Cr, DFT lattice parameters and positions (PBE) gives the calculated powder diffraction line list in this record (copper Kα).

Top 12 peaks for 2θ from 10° to 90°, in order of rising 2θ:
index, Position (°2θ), I (rel.)
0 0 1, 16.5, 53
1 0 0, 18.3, 20
1 0 1, 24.7, 69
1 1 1, 30.9, 81
0 0 2, 33.3, 68
2 0 0, 37.0, 100
2 0 1, 40.8, 19
2 1 1, 45.0, 24
2 0 2, 50.6, 75
2 2 0, 53.4, 32
3 1 1, 62.9, 18
2 2 2, 64.4, 34

Structural model:
```
data_CaMgSc2Cr
_chemical_formula_sum 'Ca1 Mg1 Sc2 Cr1'
_symmetry_space_group_name_H-M 'P 4/m m m'
_symmetry_Int_Tables_number 123
_symmetry_space_group_name_Hall '-P 4 2'
_cell_length_a 4.8567
_cell_length_b 4.8567
_cell_length_c 5.3827
_cell_angle_alpha 90.00
_cell_angle_beta 90.00
_cell_angle_gamma 90.00
loop_
_atom_site_label
_atom_site_type_symbol
_atom_site_fract_x
_atom_site_fract_y
_atom_site_fract_z
Ca1 Ca 0.0000 0.0000 0.0000
Mg1 Mg 0.5000 0.5000 0.0000
Sc1 Sc 0.0000 0.5000 0.5000
Cr1 Cr 0.5000 0.5000 0.5000
```

For ReI, DFT lattice parameters and positions (PBE) gives the calculated powder diffraction line list in this record (copper Kα).

Top 12 peaks for 2θ from 10° to 90°, in order of rising 2θ:
index, Position (°2θ), I (rel.)
1 1 0, 11.4, 100
3 2 0, 29.4, 22
2 1 1, 30.6, 16
2 2 1, 33.8, 17
3 0 1, 34.8, 8
2 3 1, 38.6, 59
5 1 0, 42.1, 33
3 4 1, 48.5, 18
0 0 2, 50.2, 10
6 2 0, 52.8, 9
5 1 2, 67.4, 11
1 8 1, 74.5, 12

Structural model:
```
data_ReI
_chemical_formula_sum 'Re8 I8'
_symmetry_space_group_name_H-M 'P 4/m'
_symmetry_Int_Tables_number 83
_symmetry_space_group_name_Hall '-P 4'
_cell_length_a 10.9612
_cell_length_b 10.9612
_cell_length_c 3.6380
_cell_angle_alpha 90.00
_cell_angle_beta 90.00
_cell_angle_gamma 90.00
loop_
_atom_site_label
_atom_site_type_symbol
_atom_site_fract_x
_atom_site_fract_y
_atom_site_fract_z
Re1 Re 0.0656 0.6108 0.0000
Re2 Re 0.0851 0.4143 0.5000
I1 I 0.1658 0.7987 0.5000
I2 I 0.2797 0.4821 0.0000
```

For PmSm2Si6, DFT lattice parameters and positions (PBE) gives the calculated powder diffraction line list in this record (copper Kα).

Top 12 peaks for 2θ from 10° to 90°, in order of rising 2θ:
index, Position (°2θ), I (rel.)
0 0 1, 21.7, 12
1 1 0, 24.9, 47
1 1 1, 33.3, 100
3 0 0, 43.9, 31
0 0 2, 44.2, 10
3 0 1, 49.5, 9
2 2 0, 51.2, 7
1 1 2, 51.5, 14
2 2 1, 56.2, 22
3 0 2, 64.1, 20
4 1 1, 73.9, 20
1 1 3, 74.4, 10

Structural model:
```
data_PmSm2Si6
_chemical_formula_sum 'Pm1 Sm2 Si6'
_symmetry_space_group_name_H-M 'P 6/m m m'
_symmetry_Int_Tables_number 191
_symmetry_space_group_name_Hall '-P 6 2'
_cell_length_a 7.1423
_cell_length_b 7.1423
_cell_length_c 4.0940
_cell_angle_alpha 90.00
_cell_angle_beta 90.00
_cell_angle_gamma 120.00
loop_
_atom_site_label
_atom_site_type_symbol
_atom_site_fract_x
_atom_site_fract_y
_atom_site_fract_z
Pm1 Pm 0.0000 0.0000 0.0000
Sm1 Sm 0.3333 0.6667 0.0000
Si1 Si 0.0000 0.3337 0.5000
```

For PrCdSnBi, DFT lattice parameters and positions (PBE) gives the calculated powder diffraction line list in this record (copper Kα).

Top 12 peaks for 2θ from 10° to 90°, in order of rising 2θ:
index, Position (°2θ), I (rel.)
1 1 1, 32.2, 100
0 0 2, 36.0, 19
0 2 0, 36.4, 18
2 0 0, 39.5, 14
0 2 2, 52.1, 13
2 0 2, 54.5, 11
2 2 0, 54.8, 11
1 1 3, 62.3, 15
1 3 1, 62.9, 15
3 1 1, 67.1, 12
2 2 2, 67.3, 12
3 1 3, 89.5, 9

Structural model:
```
data_PrCdSnBi
_chemical_formula_sum 'Pr1 Cd1 Sn1 Bi1'
_symmetry_space_group_name_H-M 'P m m m'
_symmetry_Int_Tables_number 47
_symmetry_space_group_name_Hall '-P 2 2'
_cell_length_a 4.5641
_cell_length_b 4.9313
_cell_length_c 4.9913
_cell_angle_alpha 90.00
_cell_angle_beta 90.00
_cell_angle_gamma 90.00
loop_
_atom_site_label
_atom_site_type_symbol
_atom_site_fract_x
_atom_site_fract_y
_atom_site_fract_z
Pr1 Pr 0.0000 0.0000 0.0000
Cd1 Cd 0.0000 0.5000 0.5000
Sn1 Sn 0.5000 0.5000 0.0000
Bi1 Bi 0.5000 0.0000 0.5000
```

For Pu4HgO12, DFT lattice parameters and positions (PBE) gives the calculated powder diffraction line list in this record (copper Kα).

Top 12 peaks for 2θ from 10° to 90°, in order of rising 2θ:
index, Position (°2θ), I (rel.)
1 0 1, 15.2, 19
0 0 2, 21.3, 33
2 0 0, 21.7, 63
2 0 2, 30.6, 100
2 2 0, 30.9, 46
2 2 2, 37.9, 16
4 0 0, 44.3, 26
0 2 4, 49.1, 15
4 0 2, 49.7, 16
2 2 4, 54.3, 22
4 2 2, 54.8, 44
4 0 4, 63.8, 16

Structural model:
```
data_Pu4HgO12
_chemical_formula_sum 'Pu8 Hg2 O24'
_symmetry_space_group_name_H-M 'I m m m'
_symmetry_Int_Tables_number 71
_symmetry_space_group_name_Hall '-I 2 2'
_cell_length_a 8.1801
_cell_length_b 8.1808
_cell_length_c 8.3323
_cell_angle_alpha 90.00
_cell_angle_beta 90.00
_cell_angle_gamma 90.00
loop_
_atom_site_label
_atom_site_type_symbol
_atom_site_fract_x
_atom_site_fract_y
_atom_site_fract_z
Pu1 Pu 0.2500 0.2500 0.2500
Hg1 Hg 0.0000 0.0000 0.0000
O1 O 0.0000 0.2537 0.2886
O2 O 0.2004 0.2005 0.0000
O3 O 0.2502 0.0000 0.2890
```

For Sm4ErTm4, DFT lattice parameters and positions (PBE) gives the calculated powder diffraction line list in this record (copper Kα).

Top 12 peaks for 2θ from 10° to 90°, in order of rising 2θ:
index, Position (°2θ), I (rel.)
3 0 1, 30.8, 100
3 3 0, 35.7, 34
0 0 2, 35.8, 17
6 0 0, 51.5, 36
6 3 1, 61.1, 29
3 0 3, 61.3, 14
6 0 2, 64.2, 12
6 6 0, 75.6, 4
9 0 1, 83.9, 6
6 3 3, 84.0, 12
9 3 0, 86.6, 11
3 3 4, 86.9, 6

Structural model:
```
data_Sm4ErTm4
_chemical_formula_sum 'Sm8 Er2 Tm8'
_symmetry_space_group_name_H-M 'I 4/m m m'
_symmetry_Int_Tables_number 139
_symmetry_space_group_name_Hall '-I 4 2'
_cell_length_a 10.6688
_cell_length_b 10.6688
_cell_length_c 5.0120
_cell_angle_alpha 90.00
_cell_angle_beta 90.00
_cell_angle_gamma 90.00
loop_
_atom_site_label
_atom_site_type_symbol
_atom_site_fract_x
_atom_site_fract_y
_atom_site_fract_z
Sm1 Sm 0.0000 0.3309 0.0000
Er1 Er 0.0000 0.0000 0.0000
Tm1 Tm 0.1658 0.1658 0.5000
```

For Th4InFe, DFT lattice parameters and positions (PBE) gives the calculated powder diffraction line list in this record (copper Kα).

Top 12 peaks for 2θ from 10° to 90°, in order of rising 2θ:
index, Position (°2θ), I (rel.)
3 3 1, 28.2, 46
4 2 2, 31.7, 69
5 1 1, 33.7, 100
4 4 0, 36.8, 29
7 3 3, 54.4, 20
6 6 0, 56.6, 61
5 5 5, 57.8, 14
9 3 3, 67.5, 17
10 2 0, 69.4, 10
12 0 0, 84.1, 11
11 5 1, 85.2, 17
10 6 4, 87.0, 17

Structural model:
```
data_Th4InFe
_chemical_formula_sum 'Th64 In16 Fe16'
_symmetry_space_group_name_H-M 'F -4 3 m'
_symmetry_Int_Tables_number 216
_symmetry_space_group_name_Hall 'F -4 2 3'
_cell_length_a 13.8087
_cell_length_b 13.8087
_cell_length_c 13.8087
_cell_angle_alpha 90.00
_cell_angle_beta 90.00
_cell_angle_gamma 90.00
loop_
_atom_site_label
_atom_site_type_symbol
_atom_site_fract_x
_atom_site_fract_y
_atom_site_fract_z
Th1 Th 0.0000 0.0000 0.1880
Th2 Th 0.0578 0.2500 0.7500
Th3 Th 0.0943 0.0943 0.4057
In1 In 0.1699 0.1699 0.1699
Fe1 Fe 0.1122 0.1122 0.6122
```

For LaCo8Si5, DFT lattice parameters and positions (PBE) gives the calculated powder diffraction line list in this record (copper Kα).

Top 12 peaks for 2θ from 10° to 90°, in order of rising 2θ:
index, Position (°2θ), I (rel.)
2 1 1, 26.7, 18
2 0 2, 27.7, 30
0 0 4, 31.0, 17
1 1 4, 35.2, 36
2 2 2, 36.2, 57
3 1 0, 36.5, 29
2 0 4, 38.9, 30
3 1 2, 39.8, 100
0 0 6, 47.3, 51
3 2 3, 48.4, 65
4 1 1, 48.9, 36
4 0 4, 57.1, 19

Structural model:
```
data_LaCo8Si5
_chemical_formula_sum 'La4 Co32 Si20'
_symmetry_space_group_name_H-M 'I 4/m c m'
_symmetry_Int_Tables_number 140
_symmetry_space_group_name_Hall '-I 4 2c'
_cell_length_a 7.7848
_cell_length_b 7.7848
_cell_length_c 11.5222
_cell_angle_alpha 90.00
_cell_angle_beta 90.00
_cell_angle_gamma 90.00
loop_
_atom_site_label
_atom_site_type_symbol
_atom_site_fract_x
_atom_site_fract_y
_atom_site_fract_z
La1 La 0.0000 0.0000 0.2500
Co1 Co 0.0565 0.2114 0.0000
Co2 Co 0.1169 0.3831 0.1793
Si1 Si 0.0000 0.5000 0.0000
Si2 Si 0.1833 0.3167 0.3760
```